1.
Computed powder XRD pattern
Compound: Li2Ti3CoO8
Radiation: λ = 1.5418 Å (Cu Kα)
Structure: DFT lattice parameters and positions (PBE+U)

Top 12 peaks for 2θ from 10° to 90°, by angle:
2θ 18.2, intensity 55, hkl 0 0 2; 2θ 19.5, intensity 100, hkl 1 1 -2; 2θ 25.1, intensity 33, hkl 0 2 1; 2θ 32.5, intensity 40, hkl 1 1 2; 2θ 35.3, intensity 63, hkl 2 0 1; 2θ 36.1, intensity 39, hkl 0 4 -1; 2θ 39.6, intensity 41, hkl 2 2 0; 2θ 44.9, intensity 54, hkl 0 4 -5; 2θ 51.6, intensity 21, hkl 2 2 2; 2θ 55.0, intensity 22, hkl 2 4 0; 2θ 59.4, intensity 47, hkl 0 4 3; 2θ 62.5, intensity 42, hkl 4 0 -2

Atomic structure:
```
data_Li2Ti3CoO8
_chemical_formula_sum 'Li8 Ti12 Co4 O32'
_cell_length_a 5.9455
_cell_length_b 10.2972
_cell_length_c 11.4343
_cell_angle_alpha 116.76
_cell_angle_beta 105.06
_cell_angle_gamma 90.00
_space_group_name_H-M_alt 'P 1'
_space_group_IT_number 1
_space_group_name_Hall 'P 1'
loop_
_atom_site_label
_atom_site_type_symbol
_atom_site_fract_x
_atom_site_fract_y
_atom_site_fract_z
Li1 Li 0.0000 0.0000 0.0000
Li2 Li 0.0544 0.3868 0.1083
Li3 Li 0.2505 0.2494 0.5001
Li4 Li 0.3048 0.9707 0.6092
Li5 Li 0.5000 0.4998 0.0003
Li6 Li 0.5549 0.8873 0.1091
Li7 Li 0.7505 0.7493 0.5002
Li8 Li 0.8051 0.4710 0.6094
Ti1 Ti 0.1390 0.3076 0.7841
Ti2 Ti 0.1422 0.9731 0.2837
Ti3 Ti 0.1454 0.8067 0.7835
Ti4 Ti 0.3892 0.7259 0.2840
Ti5 Ti 0.3920 0.5596 0.7832
Ti6 Ti 0.3956 0.2255 0.2837
Ti7 Ti 0.6386 0.8067 0.7833
Ti8 Ti 0.6418 0.4717 0.2827
Ti9 Ti 0.6458 0.3076 0.7841
Ti10 Ti 0.8890 0.2256 0.2839
Ti11 Ti 0.8920 0.0598 0.7834
Ti12 Ti 0.8957 0.7258 0.2839
Co1 Co 0.0046 0.6728 0.0084
Co2 Co 0.2515 0.5839 0.5023
Co3 Co 0.5018 0.1672 0.0031
Co4 Co 0.7536 0.0850 0.5085
O1 O 0.0590 0.0934 0.6703
O2 O 0.0855 0.6023 0.1703
O3 O 0.0921 0.0914 0.1837
O4 O 0.1120 0.5936 0.6709
O5 O 0.1830 0.0247 0.8921
O6 O 0.1965 0.3538 0.3926
O7 O 0.1976 0.8634 0.3945
O8 O 0.2081 0.5239 0.8914
O9 O 0.3091 0.8257 0.1703
O10 O 0.3359 0.8177 0.6711
O11 O 0.3423 0.3408 0.6839
O12 O 0.3613 0.3265 0.1712
O13 O 0.4334 0.1161 0.3915
O14 O 0.4466 0.2876 0.8928
O15 O 0.4475 0.7800 0.8945
O16 O 0.4591 0.6170 0.3925
O17 O 0.5595 0.5936 0.6709
O18 O 0.5855 0.1024 0.1706
O19 O 0.5924 0.5914 0.1841
O20 O 0.6120 0.0934 0.6704
O21 O 0.6835 0.5240 0.8916
O22 O 0.6963 0.8538 0.3918
O23 O 0.6974 0.3635 0.3944
O24 O 0.7093 0.0247 0.8919
O25 O 0.8101 0.3264 0.1710
O26 O 0.8352 0.3167 0.6702
O27 O 0.8424 0.8416 0.6840
O28 O 0.8620 0.8257 0.1703
O29 O 0.9340 0.6169 0.3925
O30 O 0.9463 0.7875 0.8921
O31 O 0.9473 0.2799 0.8943
O32 O 0.9589 0.1162 0.3917
```

=====

2.
Computed powder XRD pattern
Compound: CaCrBiO5
Radiation: λ = 1.5418 Å (Cu Kα)
Structure: DFT lattice parameters and positions (PBE+U)

Top 12 peaks for 2θ from 10° to 90°, by angle:
2θ 13.7, intensity 31, hkl 0 1 1; 2θ 14.9, intensity 29, hkl 0 2 0; 2θ 16.0, intensity 99, hkl 1 0 0; 2θ 18.8, intensity 42, hkl 0 2 1; 2θ 22.1, intensity 30, hkl 1 2 -1; 2θ 24.4, intensity 69, hkl 1 1 -2; 2θ 27.3, intensity 100, hkl 1 2 1; 2θ 31.4, intensity 32, hkl 2 1 -1; 2θ 32.4, intensity 41, hkl 0 3 2; 2θ 32.5, intensity 42, hkl 1 3 -2; 2θ 38.1, intensity 27, hkl 1 4 1; 2θ 39.7, intensity 31, hkl 2 1 -3

Atomic structure:
```
data_CaCrBiO5
_chemical_formula_sum 'Ca4 Cr4 Bi4 O20'
_cell_length_a 5.8701
_cell_length_b 11.8657
_cell_length_c 8.2183
_cell_angle_alpha 90.00
_cell_angle_beta 109.73
_cell_angle_gamma 90.00
_space_group_name_H-M_alt 'P 1 21/c 1'
_space_group_IT_number 14
_space_group_name_Hall '-P 2ybc'
loop_
_atom_site_label
_atom_site_type_symbol
_atom_site_fract_x
_atom_site_fract_y
_atom_site_fract_z
Ca1 Ca 0.0467 0.0861 0.1895
Cr1 Cr 0.3306 0.6467 0.0293
Bi1 Bi 0.4692 0.0932 0.8333
O1 O 0.1973 0.7209 0.4992
O2 O 0.2454 0.5590 0.1700
O3 O 0.2675 0.5779 0.8332
O4 O 0.2701 0.0255 0.0120
O5 O 0.3720 0.1817 0.3756
```

=====

3.
Computed powder XRD pattern
Compound: KCeVWO6
Radiation: λ = 1.5418 Å (Cu Kα)
Structure: DFT lattice parameters and positions (PBE+U)

Top 12 peaks for 2θ from 10° to 90°, by angle:
2θ 19.2, intensity 43, hkl 1 1 1; 2θ 22.2, intensity 6, hkl 2 0 0; 2θ 31.5, intensity 100, hkl 2 2 0; 2θ 37.2, intensity 24, hkl 3 1 1; 2θ 45.2, intensity 32, hkl 4 0 0; 2θ 49.5, intensity 11, hkl 3 3 1; 2θ 56.2, intensity 39, hkl 4 2 2; 2θ 59.9, intensity 9, hkl 5 1 1; 2θ 65.9, intensity 19, hkl 4 4 0; 2θ 69.3, intensity 9, hkl 5 3 1; 2θ 74.9, intensity 17, hkl 6 2 0; 2θ 83.5, intensity 6, hkl 4 4 4

Atomic structure:
```
data_KCeVWO6
_chemical_formula_sum 'K4 Ce4 V4 W4 O24'
_cell_length_a 8.0226
_cell_length_b 8.0226
_cell_length_c 8.0226
_cell_angle_alpha 90.00
_cell_angle_beta 90.00
_cell_angle_gamma 90.00
_space_group_name_H-M_alt 'F -4 3 m'
_space_group_IT_number 216
_space_group_name_Hall 'F -4 2 3'
loop_
_atom_site_label
_atom_site_type_symbol
_atom_site_fract_x
_atom_site_fract_y
_atom_site_fract_z
K1 K 0.0000 0.0000 0.0000
Ce1 Ce 0.0000 0.0000 0.5000
V1 V 0.2500 0.2500 0.2500
W1 W 0.2500 0.2500 0.7500
O1 O 0.0074 0.2500 0.7500
```

=====

4.
Computed powder XRD pattern
Compound: V3O2F5
Radiation: λ = 1.5418 Å (Cu Kα)
Structure: DFT lattice parameters and positions (PBE+U)

Top 12 peaks for 2θ from 10° to 90°, by angle:
2θ 18.8, intensity 20, hkl 0 1 1; 2θ 27.3, intensity 100, hkl 1 2 1; 2θ 29.8, intensity 81, hkl 1 3 1; 2θ 31.9, intensity 46, hkl 0 6 0; 2θ 33.0, intensity 69, hkl 1 4 1; 2θ 43.0, intensity 35, hkl 0 8 0; 2θ 43.9, intensity 51, hkl 1 3 2; 2θ 45.6, intensity 26, hkl 1 7 1; 2θ 49.3, intensity 33, hkl 0 6 2; 2θ 51.9, intensity 53, hkl 2 1 2; 2θ 52.3, intensity 40, hkl 2 7 0; 2θ 59.7, intensity 31, hkl 3 3 1

Atomic structure:
```
data_V3O2F5
_chemical_formula_sum 'V12 O8 F20'
_cell_length_a 5.1133
_cell_length_b 16.8153
_cell_length_c 4.9219
_cell_angle_alpha 90.00
_cell_angle_beta 90.00
_cell_angle_gamma 90.00
_space_group_name_H-M_alt 'P n m a'
_space_group_IT_number 62
_space_group_name_Hall '-P 2ac 2n'
loop_
_atom_site_label
_atom_site_type_symbol
_atom_site_fract_x
_atom_site_fract_y
_atom_site_fract_z
V1 V 0.0593 0.2500 0.0515
V2 V 0.1228 0.0975 0.4513
O1 O 0.1604 0.6730 0.7139
F1 F 0.0501 0.6135 0.1833
F2 F 0.1706 0.5257 0.6751
F3 F 0.2229 0.2500 0.6796
```

=====

- Number 4 is which compound?
  V3O2F5